# 1
# Na2GaAgF6
Theoretical powder X-ray diffraction pattern, Cu Kα. Input: the PBE geometry in the Materials Project.
No peak broadening, texture or thermal motion is included.

Atomic structure:
a = 8.557 Å, b = 8.557 Å, c = 8.557 Å
α = 90.00°, β = 90.00°, γ = 90.00°
Space group Fm-3m (No. 225)
Asymmetric unit:
Na (0.250, 0.250, 0.250) x8
Ga (0.000, 0.000, 0.000) x4
Ag (0.000, 0.000, 0.500) x4
F (0.000, 0.000, 0.224) x24

Peak list (12 most intense, 2θ = 5–70°, sorted by position)
2θ/deg	I_rel	h k l
17.96	18	1 1 1
20.76	989	2 0 0
29.53	1000	2 2 0
34.77	66	3 1 1
42.25	542	4 0 0
46.25	65	3 3 1
47.52	373	4 2 0
52.38	368	4 2 2
55.83	20	3 3 3
61.28	300	4 4 0
65.45	165	6 0 0
69.47	187	6 2 0

# 2
# LiPtF6
Theoretical powder X-ray diffraction pattern, Cu Kα. Input: the PBE geometry in the Materials Project.
No peak broadening, texture or thermal motion is included.

Atomic structure:
a = 5.0409 Å, b = 5.0409 Å, c = 13.8563 Å
α = 90.00°, β = 90.00°, γ = 120.00°
Space group R-3 (No. 148, hexagonal axes)
Asymmetric unit:
Li (0.0000, 0.0000, 0.0000) x3
Pt (0.0000, 0.0000, 0.5000) x3
F (0.0130, 0.6945, 0.5806) x18

Peak list (12 most intense, 2θ = 5–70°, sorted by position)
2θ/deg	I_rel	h k l
19.22	425	0 0 3
21.34	1000	1 0 1
24.10	858	0 1 2
33.01	323	1 0 4
35.62	143	1 1 0
38.48	199	0 1 5
40.78	444	1 1 3
41.90	150	0 2 1
43.47	139	2 0 2
53.84	283	1 1 6
56.14	137	2 1 1
57.41	145	1 2 2

# 3
# Ge2Sb2O5
Theoretical powder X-ray diffraction pattern, Cu Kα. Input: the PBE geometry in the Materials Project.
No peak broadening, texture or thermal motion is included.

Atomic structure:
a = 3.858 Å, b = 3.858 Å, c = 8.232 Å
α = 90.00°, β = 90.00°, γ = 90.00°
Space group P4/mmm (No. 123)
Asymmetric unit:
Ge (0.000, 0.000, 0.236) x2
Sb (0.500, 0.500, 0.000) x1
Sb (0.500, 0.500, 0.500) x1
O (0.000, 0.000, 0.000) x1
O (0.000, 0.500, 0.217) x4

Peak list (12 most intense, 2θ = 5–70°, sorted by position)
2θ/deg	I_rel	h k l
10.75	52	0 0 1
23.05	43	1 0 0
31.79	1000	1 0 2
32.83	385	1 1 0
39.63	111	1 1 2
44.00	141	0 0 4
47.11	259	2 0 0
50.24	14	1 0 4
55.97	181	1 1 4
57.95	357	2 1 2
66.42	154	2 0 4
68.82	77	2 2 0

# 4
# Sr2P7I
Theoretical powder X-ray diffraction pattern, Cu Kα. Input: the PBE geometry in the Materials Project.
No peak broadening, texture or thermal motion is included.

Atomic structure:
a = 10.053 Å, b = 10.053 Å, c = 10.053 Å
α = 90.00°, β = 90.00°, γ = 90.00°
Space group P2_13 (No. 198)
Asymmetric unit:
Sr (0.098, 0.098, 0.098) x4
Sr (0.154, 0.346, 0.654) x4
P (0.029, 0.642, 0.043) x12
P (0.036, 0.643, 0.692) x12
P (0.220, 0.720, 0.780) x4
I (0.151, 0.849, 0.349) x4

Peak list (12 most intense, 2θ = 5–70°, sorted by position)
2θ/deg	I_rel	h k l
21.65	846	2 1 1
28.07	204	3 1 0
30.81	201	2 2 2
32.10	989	3 2 0
33.35	1000	3 1 2
35.72	186	4 0 0
46.03	187	4 3 1
46.96	281	5 1 1
48.78	179	5 0 2
56.42	429	5 2 3
58.81	190	6 1 2
64.93	191	6 3 2

# 5
# BaSrI4
Theoretical powder X-ray diffraction pattern, Cu Kα. Input: the PBE geometry in the Materials Project.
No peak broadening, texture or thermal motion is included.

Atomic structure:
a = 8.807 Å, b = 8.240 Å, c = 18.039 Å
α = 90.00°, β = 108.15°, γ = 90.00°
Space group P2_1/c (No. 14)
Asymmetric unit:
Ba (0.219, 0.051, 0.155) x4
Sr (0.303, 0.157, 0.897) x4
I (0.019, 0.151, 0.732) x4
I (0.025, 0.240, 0.974) x4
I (0.457, 0.685, 0.183) x4
I (0.470, 0.698, 0.420) x4

Peak list (12 most intense, 2θ = 5–70°, sorted by position)
2θ/deg	I_rel	h k l
11.92	626	0 1 1
21.23	422	2 0 0
21.57	418	0 2 0
22.86	727	1 1 -4
23.91	957	1 2 -1
24.64	1000	2 0 -4
26.15	790	1 0 4
28.34	771	1 1 4
30.45	695	2 2 0
34.20	872	3 1 -4
34.27	290	1 3 -1
55.03	286	2 1 8

# 6
# LiBeH3
Theoretical powder X-ray diffraction pattern, Cu Kα. Input: the PBE geometry in the Materials Project.
No peak broadening, texture or thermal motion is included.

Atomic structure:
a = 8.699 Å, b = 8.008 Å, c = 4.692 Å
α = 90.00°, β = 109.17°, γ = 90.00°
Space group C2/c (No. 15)
Asymmetric unit:
Li (0.000, 0.099, 0.250) x4
Li (0.000, 0.291, 0.750) x4
Be (0.214, 0.413, 0.239) x8
H (0.114, 0.094, 0.661) x8
H (0.139, 0.255, 0.158) x8
H (0.144, 0.488, 0.459) x8

Peak list (12 most intense, 2θ = 5–70°, sorted by position)
2θ/deg	I_rel	h k l
22.20	102	0 2 0
30.08	178	0 2 1
31.19	223	2 2 0
33.09	1000	2 2 -1
34.23	130	3 1 -1
34.61	297	3 1 0
39.06	177	1 3 -1
40.72	386	0 0 2
41.23	366	2 2 1
49.63	152	4 0 -2
49.99	121	0 4 1
63.92	301	2 2 -3

# 7
# Pm2AgRh
Theoretical powder X-ray diffraction pattern, Cu Kα. Input: the PBE geometry in the Materials Project.
No peak broadening, texture or thermal motion is included.

Atomic structure:
a = 7.247 Å, b = 7.247 Å, c = 7.247 Å
α = 90.00°, β = 90.00°, γ = 90.00°
Space group Fm-3m (No. 225)
Asymmetric unit:
Pm (0.250, 0.250, 0.250) x8
Ag (0.000, 0.000, 0.000) x4
Rh (0.000, 0.000, 0.500) x4

Peak list (6 most intense, 2θ = 5–70°, sorted by position)
2θ/deg	I_rel	h k l
24.57	26	2 0 0
35.02	1000	2 2 0
43.24	8	2 2 2
50.36	176	4 0 0
56.81	12	4 2 0
62.81	358	4 2 2

# 8
# SrSnP2O8
Theoretical powder X-ray diffraction pattern, Cu Kα. Input: the PBE geometry in the Materials Project.
No peak broadening, texture or thermal motion is included.

Atomic structure:
a = 16.888 Å, b = 5.310 Å, c = 8.157 Å
α = 90.00°, β = 115.43°, γ = 90.00°
Space group C2/c (No. 15)
Asymmetric unit:
Sr (0.000, 0.220, 0.250) x4
Sn (0.250, 0.250, 0.500) x4
P (0.141, 0.253, 0.759) x8
O (0.051, 0.235, 0.601) x8
O (0.145, 0.499, 0.368) x8
O (0.151, 0.017, 0.884) x8
O (0.222, 0.256, 0.718) x8

Peak list (12 most intense, 2θ = 5–70°, sorted by position)
2θ/deg	I_rel	h k l
11.60	368	2 0 0
19.96	940	1 1 -1
21.83	743	2 0 -2
22.82	406	1 1 1
23.33	237	4 0 0
30.38	1000	3 1 1
31.39	787	5 1 -1
33.76	404	0 2 0
37.20	678	3 1 -3
41.44	367	4 2 0
46.61	246	2 2 2
52.89	218	9 1 -1

# 9
# AlPS4
Theoretical powder X-ray diffraction pattern, Cu Kα. Input: the PBE geometry in the Materials Project.
No peak broadening, texture or thermal motion is included.

Atomic structure:
a = 5.703 Å, b = 6.239 Å, c = 10.164 Å
α = 90.00°, β = 90.00°, γ = 90.00°
Space group I222 (No. 23)
Asymmetric unit:
Al (0.000, 0.000, 0.000) x2
P (0.000, 0.500, 0.500) x2
S (0.223, 0.314, 0.387) x8

Peak list (12 most intense, 2θ = 5–70°, sorted by position)
2θ/deg	I_rel	h k l
16.67	1000	0 1 1
17.45	284	0 0 2
27.51	803	1 1 2
33.92	118	1 2 1
42.46	99	1 2 3
42.97	152	2 2 0
43.97	113	2 1 3
46.07	124	0 2 4
46.71	69	2 2 2
47.95	162	2 0 4
53.52	78	3 1 2
55.42	146	2 3 1

# 10
# LuSnF7
Theoretical powder X-ray diffraction pattern, Cu Kα. Input: the PBE geometry in the Materials Project.
No peak broadening, texture or thermal motion is included.

Atomic structure:
a = 8.853 Å, b = 5.524 Å, c = 11.937 Å
α = 90.00°, β = 117.28°, γ = 90.00°
Space group P2_1/c (No. 14)
Asymmetric unit:
Lu (0.183, 0.240, 0.263) x4
Sn (0.273, 0.743, 0.042) x4
F (0.020, 0.737, 0.943) x4
F (0.030, 0.585, 0.733) x4
F (0.255, 0.541, 0.176) x4
F (0.268, 0.035, 0.140) x4
F (0.278, 0.062, 0.451) x4
F (0.289, 0.551, 0.411) x4
F (0.475, 0.229, 0.359) x4

Peak list (12 most intense, 2θ = 5–70°, sorted by position)
2θ/deg	I_rel	h k l
11.24	114	1 0 0
22.22	1000	1 1 -2
22.60	382	2 0 0
26.59	222	2 1 -2
27.84	159	2 1 0
29.13	333	1 1 2
30.26	176	1 0 -4
32.41	161	0 2 0
44.92	201	1 2 -4
48.64	164	2 1 -6
48.77	110	3 2 -4
52.11	121	1 3 -2

# 11
# Pu2Se3
Theoretical powder X-ray diffraction pattern, Cu Kα. Input: the PBE geometry in the Materials Project.
No peak broadening, texture or thermal motion is included.

Atomic structure:
a = 11.107 Å, b = 4.102 Å, c = 10.974 Å
α = 90.00°, β = 90.00°, γ = 90.00°
Space group Pnma (No. 62)
Asymmetric unit:
Pu (0.004, 0.250, 0.185) x4
Pu (0.188, 0.250, 0.507) x4
Se (0.050, 0.750, 0.370) x4
Se (0.125, 0.250, 0.945) x4
Se (0.232, 0.750, 0.704) x4

Peak list (12 most intense, 2θ = 5–70°, sorted by position)
2θ/deg	I_rel	h k l
22.78	1000	2 0 2
23.15	526	0 1 1
25.39	580	3 0 1
25.64	490	1 0 3
28.31	948	1 1 2
31.64	707	2 1 2
33.81	799	1 1 3
36.55	872	2 0 4
40.06	581	4 1 1
40.38	505	1 1 4
44.16	652	0 2 0
48.20	470	3 0 5